Structure and computed powder X-ray diffraction pattern of La4Nd5Dy2 (a GGA-PBE-relaxed structure; λ = 1.5418 Å (Cu Kα)).

Most intense lines, 15° ≤ 2θ ≤ 90°, most intense first:
2θ = 30.1°, d 2.966, intensity 100.0; 2θ = 31.1°, d 2.876, intensity 59.0; 2θ = 30.9°, d 2.892, intensity 57.7; 2θ = 32.1°, d 2.789, intensity 41.3; 2θ = 29.2°, d 3.061, intensity 32.0; 2θ = 29.6°, d 3.022, intensity 25.7

Structural model:
```
La4Nd5Dy2
1.0
9.0378 -1.8038 0.0000
9.0378 1.8038 0.0000
-0.8837 0.0000 11.9117
La Nd Dy
4 5 2
direct
0.0401 0.0401 0.2632 La
0.3583 0.3583 0.2044 La
0.6417 0.6417 0.7956 La
0.9599 0.9599 0.7368 La
0.0962 0.0962 0.5393 Nd
0.1790 0.1790 0.0741 Nd
0.5000 0.5000 0.0000 Nd
0.8210 0.8210 0.9259 Nd
0.9038 0.9038 0.4607 Nd
0.2833 0.2833 0.6372 Dy
0.7167 0.7167 0.3628 Dy
```